Computed X-ray diffraction stick pattern
Compound: CaCrP2O7
Radiation: copper Kα
Structure: the PBE+U geometry in Alexandria
Neutral-atom scattering factors, no anomalous dispersion.

The 10 most intense peaks (10° ≤ 2θ ≤ 90°), low angle first:
- (1 2 0), 27.9°, d 3.203, I = 53
- (1 0 -2), 28.3°, d 3.159, I = 100
- (1 0 2), 28.5°, d 3.128, I = 91
- (0 2 0), 28.8°, d 3.095, I = 24
- (2 0 0), 32.0°, d 2.793, I = 25
- (0 2 2), 34.4°, d 2.608, I = 15
- (2 0 2), 40.3°, d 2.238, I = 15
- (1 3 1), 41.0°, d 2.201, I = 13
- (2 2 -2), 45.2°, d 2.007, I = 15
- (2 -1 3), 56.1°, d 1.640, I = 15

Atomic structure:
Unit cell a=5.939 b=6.662 c=7.702 alpha=80.70 beta=87.46 gamma=70.18
Element x y z (fractional)
Ca1 0.190 0.331 0.339
Ca2 0.810 0.669 0.661
Cr1 0.226 0.865 0.822
Cr2 0.774 0.135 0.178
P1 0.266 0.792 0.388
P2 0.340 0.331 0.885
P3 0.660 0.669 0.115
P4 0.734 0.208 0.612
O1 0.112 0.018 0.295
O2 0.116 0.649 0.450
O3 0.166 0.565 0.845
O4 0.237 0.169 0.835
O5 0.425 0.670 0.234
O6 0.426 0.808 0.529
O7 0.432 0.280 0.077
O8 0.568 0.720 0.923
O9 0.574 0.192 0.471
O10 0.575 0.330 0.766
O11 0.763 0.831 0.165
O12 0.834 0.435 0.155
O13 0.884 0.351 0.550
O14 0.888 0.982 0.705